# 1
# Ba2MgMo4Se4O22
Computed PXRD pattern, copper Kα. Input: a crystal structure in the Materials Project, relaxed with GGA+U.

Atomic structure:
Lattice parameters (Å, degrees): 8.0514 8.2357 9.0127 89.52 64.37 89.44
Space group P1 (No. 1)
Inequivalent atoms, fractional coordinates:
Ba (0.0000, 0.0000, 0.0000)
Ba (0.4616, 0.4860, 0.0062)
Mg (0.8602, 0.7239, 0.7442)
Mo (0.1082, 0.4919, 0.7619)
Mo (0.3896, 0.0007, 0.2087)
Mo (0.6002, 0.0175, 0.7756)
Mo (0.8694, 0.5009, 0.2032)
Se (0.1317, 0.6423, 0.4025)
Se (0.3614, 0.1400, 0.5716)
Se (0.5461, 0.6457, 0.5771)
Se (0.9536, 0.1576, 0.4072)
O (0.0527, 0.4298, 0.9961)
O (0.0844, 0.0016, 0.2809)
O (0.0973, 0.7120, 0.7872)
O (0.1091, 0.5032, 0.2716)
O (0.1636, 0.2379, 0.7140)
O (0.2217, 0.5143, 0.5052)
O (0.2667, 0.0178, 0.4729)
O (0.3284, 0.7377, 0.2694)
O (0.3758, 0.9961, 0.7089)
O (0.3854, 0.2122, 0.1847)
O (0.4011, 0.5073, 0.7179)
O (0.4087, 0.9358, 0.0019)
O (0.5593, 0.2229, 0.8228)
O (0.6141, 0.9683, 0.1874)
O (0.6290, 0.7363, 0.7081)
O (0.6689, 0.4694, 0.1781)
O (0.7343, 0.5224, 0.4645)
O (0.7574, 0.0441, 0.5249)
O (0.7978, 0.9439, 0.8200)
O (0.8619, 0.4859, 0.7907)
O (0.8800, 0.2445, 0.2698)
O (0.9020, 0.7107, 0.1682)

Peak list (10 most intense, 2θ = 10–90°, low angle first)
2θ (°), I_rel
21.58, 100
22.08, 64
22.41, 57
24.23, 73
24.52, 46
31.46, 84
31.68, 40
31.85, 35
38.35, 41
38.70, 32

# 2
# KMnF3
Computed PXRD pattern, copper Kα. Input: a crystal structure in the Materials Project, relaxed with GGA+U.

Atomic structure:
Lattice parameters (Å, degrees): 5.9903 5.9903 8.5768 90.00 90.00 90.00
Space group I4/mcm (No. 140)
Inequivalent atoms, fractional coordinates:
K (0.0000, 0.5000, 0.2500)
Mn (0.0000, 0.0000, 0.0000)
F (0.0000, 0.0000, 0.2500)
F (0.2143, 0.2857, 0.0000)

Peak list (10 most intense, 2θ = 10–90°, low angle first)
2θ (°), I_rel
20.97, 24
29.64, 100
29.83, 57
42.14, 38
42.69, 66
52.49, 21
52.83, 43
61.55, 38
61.97, 17
70.24, 16

# 3
# Na3Ni2P2C2O14
Computed PXRD pattern, copper Kα. Input: a crystal structure in the Materials Project, relaxed with GGA+U.

Atomic structure:
Lattice parameters (Å, degrees): 8.3757 8.3761 10.1542 106.82 108.03 103.55
Space group P-1 (No. 2)
Inequivalent atoms, fractional coordinates:
Na (0.0031, 0.0052, 0.2520)
Na (0.2458, 0.7597, 0.7540)
Na (0.4783, 0.5173, 0.2396)
Ni (0.1830, 0.4392, 0.8460)
Ni (0.3135, 0.0590, 0.1552)
P (0.0503, 0.2984, 0.0730)
P (0.4451, 0.1944, 0.9235)
C (0.0192, 0.2718, 0.5743)
C (0.4810, 0.2335, 0.4253)
O (0.0263, 0.7718, 0.3263)
O (0.0368, 0.6024, 0.8346)
O (0.0622, 0.8162, 0.5648)
O (0.0940, 0.8529, 0.0748)
O (0.1604, 0.2205, 0.1743)
O (0.1600, 0.4173, 0.6354)
O (0.1801, 0.4220, 0.0331)
O (0.3131, 0.0666, 0.9619)
O (0.3371, 0.2747, 0.8256)
O (0.3401, 0.0911, 0.3692)
O (0.4060, 0.6569, 0.9278)
O (0.4318, 0.6769, 0.4374)
O (0.4756, 0.7245, 0.6772)
O (0.4816, 0.9211, 0.1730)

Peak list (10 most intense, 2θ = 10–90°, low angle first)
2θ (°), I_rel
16.65, 53
16.89, 52
19.57, 34
20.10, 52
21.84, 58
26.02, 72
27.11, 100
33.81, 39
34.63, 54
42.28, 31

# 4
# MgV4O5F7
Computed PXRD pattern, copper Kα. Input: a crystal structure in the Materials Project, relaxed with GGA+U.

Atomic structure:
Lattice parameters (Å, degrees): 5.0824 5.4071 9.3413 91.90 105.30 118.00
Space group P1 (No. 1)
Inequivalent atoms, fractional coordinates:
Mg (0.0000, 0.0000, 0.0000)
V (0.2826, 0.5920, 0.8804)
V (0.3599, 0.1379, 0.3837)
V (0.8182, 0.4147, 0.1323)
V (0.8664, 0.8651, 0.6197)
O (0.0119, 0.3764, 0.9883)
O (0.0436, 0.6666, 0.7391)
O (0.0520, 0.9390, 0.4887)
O (0.6473, 0.3337, 0.2757)
O (0.6550, 0.6276, 0.0239)
F (0.0310, 0.1564, 0.2181)
F (0.1950, 0.2292, 0.7705)
F (0.2044, 0.7609, 0.2485)
F (0.3988, 0.0000, 0.0062)
F (0.4876, 0.5131, 0.5103)
F (0.6518, 0.0834, 0.5439)
F (0.6615, 0.8400, 0.7898)

Peak list (10 most intense, 2θ = 10–90°, low angle first)
2θ (°), I_rel
23.03, 83
23.81, 98
23.98, 100
32.73, 21
33.21, 42
33.51, 21
39.11, 21
47.06, 25
48.74, 24
49.09, 25

# 5
# MgMn4Cu3O12
Computed PXRD pattern, copper Kα. Input: a crystal structure in the Materials Project, relaxed with GGA+U.

Atomic structure:
Lattice parameters (Å, degrees): 10.4850 7.2537 7.2735 90.00 133.88 90.00
Space group Cm (No. 8)
Inequivalent atoms, fractional coordinates:
Mg (0.0000, 0.0000, 0.0000)
Mn (0.2138, 0.2494, 0.9136)
Mn (0.2227, 0.2559, 0.4290)
Cu (0.4610, 0.0000, 0.4138)
Cu (0.4683, 0.0000, 0.9219)
Cu (0.4677, 0.5000, 0.4123)
O (0.1347, 0.3003, 0.0830)
O (0.1474, 0.5000, 0.4214)
O (0.1486, 0.5000, 0.7752)
O (0.2646, 0.0000, 0.3907)
O (0.2732, 0.0000, 0.0526)
O (0.3002, 0.1969, 0.7559)
O (0.4522, 0.3316, 0.2036)
O (0.4810, 0.3252, 0.6124)

Peak list (10 most intense, 2θ = 10–90°, low angle first)
2θ (°), I_rel
16.93, 8
29.94, 9
34.25, 100
34.94, 45
48.16, 13
50.17, 12
50.32, 13
60.87, 25
62.17, 22
62.26, 23

# 6
# NaV13O18
Computed PXRD pattern, copper Kα. Input: a crystal structure in the Materials Project, relaxed with GGA+U.

Atomic structure:
Lattice parameters (Å, degrees): 13.1682 13.1682 7.5209 90.00 90.00 120.00
Space group R-3 (No. 148, hexagonal axes)
Inequivalent atoms, fractional coordinates:
Na (0.0000, 0.0000, 0.0000)
V (0.0000, 0.0000, 0.5000)
V (0.0421, 0.2734, 0.8403)
V (0.0696, 0.5631, 0.1626)
O (0.0223, 0.1510, 0.6424)
O (0.0387, 0.2938, 0.3453)
O (0.0573, 0.5564, 0.6763)

Peak list (10 most intense, 2θ = 10–90°, low angle first)
2θ (°), I_rel
13.45, 35
14.11, 25
23.79, 17
24.93, 10
30.66, 13
36.36, 19
42.07, 100
60.65, 28
61.38, 26
77.21, 11